1.
Starting from DFT lattice parameters and positions (GGA+U), the PXRD pattern of Fe3B7IO13 was simulated for CuKα.
No peak broadening, texture or thermal motion is included.

```
Fe3B7IO13
1.0
0.0000 6.1708 6.1708
6.1708 0.0000 6.1708
6.1708 6.1708 0.0000
Fe B I O
6 14 2 26
Direct
0.2500 0.2500 0.7500
0.2500 0.7500 0.2500
0.2500 0.7500 0.7500
0.7500 0.2500 0.2500
0.7500 0.2500 0.7500
0.7500 0.7500 0.2500
0.0000 0.0000 0.5000
0.0000 0.5000 0.0000
0.0000 0.5000 0.5000
0.1703 0.1703 0.1703
0.1703 0.1703 0.4890
0.1703 0.4890 0.1703
0.4890 0.1703 0.1703
0.5000 0.0000 0.0000
0.5000 0.0000 0.5000
0.5000 0.5000 0.0000
0.6703 0.6703 0.6703
0.6703 0.6703 0.9890
0.6703 0.9890 0.6703
0.9890 0.6703 0.6703
0.0000 0.0000 0.0000
0.5000 0.5000 0.5000
0.0464 0.4966 0.8136
0.0464 0.6434 0.4966
0.0464 0.8136 0.6434
0.1434 0.3136 0.5464
0.1434 0.5464 0.9966
0.1434 0.9966 0.3136
0.2500 0.2500 0.2500
0.3136 0.1434 0.9966
0.3136 0.5464 0.1434
0.3136 0.9966 0.5464
0.4966 0.0464 0.6434
0.4966 0.6434 0.8136
0.4966 0.8136 0.0464
0.5464 0.1434 0.3136
0.5464 0.3136 0.9966
0.5464 0.9966 0.1434
0.6434 0.0464 0.8136
0.6434 0.4966 0.0464
0.6434 0.8136 0.4966
0.7500 0.7500 0.7500
0.8136 0.0464 0.4966
0.8136 0.4966 0.6434
0.8136 0.6434 0.0464
0.9966 0.1434 0.5464
0.9966 0.3136 0.1434
0.9966 0.5464 0.3136
```

The 8 most intense peaks (2θ = 10–80°), in order of falling intensity:
2θ/deg  Rel. int.
28.9  1000
32.4  994
41.4  637
14.4  327
67.9  316
62.0  311
51.3  305
75.5  280



2.
Starting from DFT lattice parameters and positions (GGA+U), the PXRD pattern of Fe3B7IO13 was simulated for CuKα.
No peak broadening, texture or thermal motion is included.

```
Fe3B7IO13
1.0
4.4827 2.5881 7.0097
-4.4827 2.5881 7.0097
0.0000 -5.1762 7.0097
Fe B I O
6 14 2 26
Direct
0.1548 0.6794 0.6659
0.1659 0.1794 0.6548
0.1794 0.6548 0.1659
0.6548 0.1659 0.1794
0.6659 0.1548 0.6794
0.6794 0.6659 0.1548
0.0935 0.3211 0.9910
0.2537 0.2537 0.2537
0.3211 0.9910 0.0935
0.3825 0.3971 0.9286
0.3971 0.9286 0.3825
0.4286 0.8971 0.8825
0.4910 0.8211 0.5935
0.5935 0.4910 0.8211
0.7537 0.7537 0.7537
0.8211 0.5935 0.4910
0.8825 0.4286 0.8971
0.8971 0.8825 0.4286
0.9286 0.3825 0.3971
0.9910 0.0935 0.3211
0.4166 0.4166 0.4166
0.9166 0.9166 0.9166
0.0604 0.8956 0.4285
0.0612 0.2815 0.8604
0.1062 0.4122 0.2497
0.1470 0.1470 0.1470
0.2215 0.4253 0.8961
0.2497 0.1062 0.4122
0.2815 0.8604 0.0612
0.3604 0.7815 0.5612
0.3956 0.5604 0.9285
0.3961 0.9253 0.7215
0.4122 0.2497 0.1062
0.4253 0.8961 0.2215
0.4285 0.0604 0.8956
0.5604 0.9285 0.3956
0.5612 0.3604 0.7815
0.6062 0.7497 0.9122
0.6470 0.6470 0.6470
0.7215 0.3961 0.9253
0.7497 0.9122 0.6062
0.7815 0.5612 0.3604
0.8604 0.0612 0.2815
0.8961 0.2215 0.4253
0.8956 0.4285 0.0604
0.9122 0.6062 0.7497
0.9253 0.7215 0.3961
0.9285 0.3956 0.5604
```

The 8 most intense peaks (2θ = 10–80°), in order of falling intensity:
2θ/deg  Rel. int.
28.6  1000
32.4  464
31.7  431
40.2  267
14.2  252
41.5  223
50.1  193
60.7  132



3.
Starting from DFT lattice parameters and positions (GGA+U), the PXRD pattern of Fe3B7IO13 was simulated for CuKα.
No peak broadening, texture or thermal motion is included.

```
Fe3B7IO13
1.0
4.3859 2.5322 7.1548
-4.3859 2.5322 7.1548
0.0000 -5.0644 7.1548
Fe B I O
6 14 2 26
Direct
0.0240 0.4877 0.4883
0.4883 0.0240 0.4877
0.4877 0.4883 0.0240
0.5240 0.9883 0.9877
0.9877 0.5240 0.9883
0.9883 0.9877 0.5240
0.0736 0.7720 0.0765
0.0765 0.0736 0.7720
0.1041 0.1041 0.1041
0.2487 0.7564 0.2512
0.2512 0.2487 0.7564
0.2564 0.7487 0.7512
0.2720 0.5736 0.5765
0.5736 0.5765 0.2720
0.5765 0.2720 0.5736
0.6041 0.6041 0.6041
0.7487 0.7512 0.2564
0.7512 0.2564 0.7487
0.7564 0.2512 0.2487
0.7720 0.0765 0.0736
0.2584 0.2584 0.2584
0.7584 0.7584 0.7584
0.1069 0.2448 0.7209
0.1115 0.9482 0.2637
0.1177 0.6926 0.9378
0.1926 0.6177 0.4378
0.2072 0.4350 0.7515
0.2209 0.7448 0.6069
0.2448 0.7209 0.1069
0.2515 0.9350 0.7072
0.2637 0.1115 0.9482
0.4350 0.7515 0.2072
0.4378 0.1926 0.6177
0.4482 0.6115 0.7637
0.4896 0.4896 0.4896
0.6069 0.2209 0.7448
0.6115 0.7637 0.4482
0.6177 0.4378 0.1926
0.6926 0.9378 0.1177
0.7072 0.2515 0.9350
0.7209 0.1069 0.2448
0.7448 0.6069 0.2209
0.7515 0.2072 0.4350
0.7637 0.4482 0.6115
0.9350 0.7072 0.2515
0.9378 0.1177 0.6926
0.9482 0.2637 0.1115
0.9896 0.9896 0.9896
```

The 8 most intense peaks (2θ = 10–80°), in order of falling intensity:
2θ/deg  Rel. int.
32.3  1000
28.8  998
41.2  629
14.3  407
61.7  319
43.8  292
67.6  274
51.0  273



4.
Starting from DFT lattice parameters and positions (GGA+U), the PXRD pattern of K2Fe2B2O7 was simulated for CuKα.
No peak broadening, texture or thermal motion is included.

```
K2Fe2B2O7
1.0
8.8598 0.0000 0.0000
-4.4299 7.6728 0.0000
0.0000 0.0000 8.7062
K Fe B O
6 6 6 21
Direct
0.0000 0.3190 0.0000
0.0000 0.3523 0.5000
0.3190 0.0000 0.0000
0.3523 0.0000 0.5000
0.6477 0.6477 0.5000
0.6810 0.6810 0.0000
0.0000 0.0000 0.2872
0.0000 0.0000 0.7128
0.3333 0.6667 0.2350
0.3333 0.6667 0.8074
0.6667 0.3333 0.1926
0.6667 0.3333 0.7650
0.0015 0.6656 0.2590
0.3344 0.3359 0.2590
0.3359 0.3344 0.7410
0.6641 0.9985 0.2590
0.6656 0.0015 0.7410
0.9985 0.6641 0.7410
0.0000 0.0000 0.5000
0.0673 0.8372 0.7822
0.1009 0.5871 0.7415
0.1628 0.2302 0.7822
0.1748 0.7397 0.3018
0.2302 0.1628 0.2178
0.2603 0.4351 0.3018
0.3333 0.6667 0.0212
0.4129 0.5138 0.7415
0.4351 0.2603 0.6982
0.4862 0.8991 0.7415
0.5138 0.4129 0.2585
0.5649 0.8252 0.3018
0.5871 0.1009 0.2585
0.6667 0.3333 0.9788
0.7397 0.1748 0.6982
0.7698 0.9327 0.7822
0.8252 0.5649 0.6982
0.8372 0.0673 0.2178
0.8991 0.4862 0.2585
0.9327 0.7698 0.2178
```

The 8 most intense peaks (2θ = 10–80°), in order of falling intensity:
2θ/deg  Rel. int.
28.8  1000
35.1  431
20.0  329
20.4  232
59.1  203
46.0  161
41.5  133
55.4  122